Theoretical powder diffraction line list of BeTe8 for Cu Kα, from a crystal structure in Alexandria, relaxed with PBE.
No peak broadening, texture or thermal motion is included.

The 10 most intense peaks (2θ from 10° to 90°), sorted by position:
2θ (°), I/Imax
19.99, 13
20.88, 93
32.01, 100
38.03, 20
42.50, 14
43.21, 17
44.22, 41
48.46, 24
62.22, 11
63.00, 14

Atomic structure:
Cell: 7.5859 7.5859 7.5859 Å, 108.33 108.33 111.77°
Fractional coordinates of all 9 atoms:
Be (0.0000, 0.0000, 0.0000)
Te (0.0000, 0.2821, 0.2821)
Te (0.0000, 0.7179, 0.7179)
Te (0.2821, 0.0000, 0.2821)
Te (0.3284, 0.3284, 0.6569)
Te (0.3284, 0.6716, 0.0000)
Te (0.6716, 0.3284, 0.0000)
Te (0.6716, 0.6716, 0.3431)
Te (0.7179, 0.0000, 0.7179)